No. 1
Simulated X-ray powder pattern
Compound: Sr2AlGaW2O7
Radiation: Cu Kα (weighted mean of Kα1 and Kα2)
Structure: DFT lattice parameters and positions (PBE+U)

Structure:
Cell: 5.686 6.137 11.801 Å, 75.31 76.16 88.74°
Space group P1 (No. 1)
One atom of each set of equivalent atoms:
Sr (0.000, 0.000, 0.000) x1
Sr (0.200, 0.146, 0.639) x1
Sr (0.468, 0.549, 0.005) x1
Sr (0.695, 0.748, 0.625) x1
Al (0.396, 0.240, 0.362) x1
Al (0.966, 0.765, 0.284) x1
Ga (0.120, 0.534, 0.813) x1
Ga (0.628, 0.196, 0.815) x1
W (0.255, 0.778, 0.451) x1
W (0.426, 0.974, 0.167) x1
W (0.766, 0.293, 0.454) x1
W (0.896, 0.433, 0.160) x1
O (0.009, 0.623, 0.954) x1
O (0.094, 0.114, 0.450) x1
O (0.131, 0.732, 0.662) x1
O (0.167, 0.208, 0.113) x1
O (0.193, 0.656, 0.180) x1
O (0.408, 0.445, 0.456) x1
O (0.456, 0.468, 0.806) x1
O (0.507, 0.973, 0.954) x1
O (0.531, 0.004, 0.466) x1
O (0.657, 0.135, 0.663) x1
O (0.682, 0.239, 0.097) x1
O (0.739, 0.765, 0.201) x1
O (0.917, 0.624, 0.442) x1
O (0.956, 0.271, 0.810) x1

Most intense lines, 10° ≤ 2θ ≤ 90°, sorted by position:
| 2theta | Rel. int. | index |
| --- | --- | --- |
| 21.07 | 28 | 1 1 1 |
| 21.54 | 38 | 1 -1 0 |
| 23.00 | 38 | 1 -1 1 |
| 24.10 | 28 | 0 0 3 |
| 29.11 | 68 | 0 2 1 |
| 31.47 | 72 | 2 0 1 |
| 31.99 | 59 | 1 1 -2 |
| 32.48 | 100 | 1 -1 3 |
| 32.59 | 50 | -1 1 3 |
| 42.90 | 32 | 2 2 2 |

***

No. 2
Simulated X-ray powder pattern
Compound: YMo3F15
Radiation: Cu Kα (weighted mean of Kα1 and Kα2)
Structure: DFT lattice parameters and positions (PBE+U)

Structure:
Cell: 5.627 10.721 9.995 Å, 90.00 95.76 90.00°
Space group P2_1/m (No. 11)
One atom of each set of equivalent atoms:
Y (0.082, 0.250, 0.204) x2
Mo (0.467, 0.054, 0.657) x4
Mo (0.500, 0.000, 0.000) x2
F (0.157, 0.113, 0.599) x4
F (0.159, 0.750, 0.661) x2
F (0.201, 0.750, 0.944) x2
F (0.273, 0.130, 0.038) x4
F (0.284, 0.523, 0.819) x4
F (0.289, 0.086, 0.303) x4
F (0.351, 0.582, 0.510) x4
F (0.353, 0.599, 0.143) x4
F (0.475, 0.750, 0.329) x2

Most intense lines, 10° ≤ 2θ ≤ 90°, sorted by position:
| 2theta | Rel. int. | index |
| --- | --- | --- |
| 15.83 | 68 | 1 0 0 |
| 16.54 | 33 | 0 2 0 |
| 19.26 | 28 | 1 1 -1 |
| 19.68 | 18 | 0 1 2 |
| 20.70 | 25 | 1 1 1 |
| 22.97 | 100 | 1 2 0 |
| 26.50 | 28 | 0 3 1 |
| 29.92 | 28 | 1 0 -3 |
| 31.74 | 16 | 0 2 3 |
| 43.57 | 19 | 2 2 -3 |

***

No. 3
Simulated X-ray powder pattern
Compound: Li5Mn3O8
Radiation: Cu Kα (weighted mean of Kα1 and Kα2)
Structure: DFT lattice parameters and positions (PBE+U)

Structure:
Cell: 4.986 5.937 9.806 Å, 88.73 79.63 89.16°
Space group P-1 (No. 2)
One atom of each set of equivalent atoms:
Li (0.000, 0.000, 0.000) x1
Li (0.000, 0.500, 0.000) x1
Li (0.008, 0.239, 0.503) x2
Li (0.252, 0.001, 0.248) x2
Li (0.491, 0.230, 0.001) x2
Li (0.500, 0.000, 0.500) x1
Li (0.500, 0.500, 0.500) x1
Mn (0.249, 0.506, 0.252) x2
Mn (0.250, 0.240, 0.751) x2
Mn (0.252, 0.752, 0.749) x2
O (0.106, 0.478, 0.635) x2
O (0.111, 0.736, 0.138) x2
O (0.116, 0.275, 0.143) x2
O (0.149, 0.010, 0.636) x2
O (0.357, 0.020, 0.872) x2
O (0.384, 0.489, 0.858) x2
O (0.385, 0.269, 0.362) x2
O (0.389, 0.735, 0.360) x2

Most intense lines, 10° ≤ 2θ ≤ 90°, sorted by position:
| 2theta | Rel. int. | index |
| --- | --- | --- |
| 14.93 | 15 | 0 1 0 |
| 18.40 | 100 | 0 0 2 |
| 18.77 | 10 | 1 0 1 |
| 26.49 | 11 | 1 1 -1 |
| 35.38 | 13 | 1 2 1 |
| 36.06 | 13 | 1 -2 1 |
| 36.65 | 12 | 2 0 0 |
| 42.74 | 33 | 1 2 3 |
| 43.87 | 31 | 1 -2 3 |
| 44.35 | 30 | 2 0 -2 |

***

No. 4
Simulated X-ray powder pattern
Compound: LiNi5O3F5
Radiation: Cu Kα (weighted mean of Kα1 and Kα2)
Structure: DFT lattice parameters and positions (PBE+U)

Structure:
Cell: 10.474 6.051 10.587 Å, 90.00 109.16 90.00°
Space group Cm (No. 8)
One atom of each set of equivalent atoms:
Li (0.000, 0.000, 0.000) x2
Li (0.000, 0.500, 0.499) x2
Ni (0.067, 0.000, 0.690) x2
Ni (0.067, 0.500, 0.190) x2
Ni (0.114, 0.500, 0.843) x2
Ni (0.115, 0.000, 0.344) x2
Ni (0.306, 0.000, 0.919) x2
Ni (0.307, 0.500, 0.420) x2
Ni (0.312, 0.245, 0.690) x4
Ni (0.312, 0.255, 0.190) x4
O (0.188, 0.232, 0.797) x4
O (0.188, 0.268, 0.297) x4
O (0.421, 0.000, 0.797) x2
O (0.421, 0.500, 0.297) x2
F (0.189, 0.000, 0.566) x2
F (0.189, 0.500, 0.066) x2
F (0.201, 0.000, 0.063) x2
F (0.202, 0.500, 0.563) x2
F (0.431, 0.229, 0.063) x4
F (0.431, 0.271, 0.563) x4
F (0.433, 0.000, 0.300) x2
F (0.434, 0.500, 0.800) x2

Most intense lines, 10° ≤ 2θ ≤ 90°, sorted by position:
| 2theta | Rel. int. | index |
| --- | --- | --- |
| 17.74 | 53 | 0 0 2 |
| 17.94 | 79 | 1 1 -1 |
| 34.45 | 54 | 2 0 -4 |
| 34.66 | 93 | 3 1 1 |
| 34.77 | 55 | 2 2 0 |
| 36.33 | 29 | 4 0 0 |
| 42.08 | 100 | 2 2 2 |
| 55.62 | 35 | 1 3 3 |
| 60.75 | 48 | 4 0 4 |
| 61.30 | 55 | 0 4 0 |

***

No. 5
Simulated X-ray powder pattern
Compound: LiCo3O6
Radiation: Cu Kα (weighted mean of Kα1 and Kα2)
Structure: DFT lattice parameters and positions (PBE+U)

Structure:
Cell: 10.141 8.460 4.949 Å, 90.00 98.76 90.00°
Space group C2/m (No. 12)
One atom of each set of equivalent atoms:
Li (0.250, 0.000, 0.241) x4
Co (0.000, 0.000, 0.500) x2
Co (0.000, 0.166, 0.000) x4
Co (0.000, 0.333, 0.500) x4
Co (0.000, 0.500, 0.000) x2
O (0.093, 0.500, 0.368) x4
O (0.095, 0.166, 0.356) x8
O (0.097, 0.337, 0.862) x8
O (0.104, 0.000, 0.901) x4

Most intense lines, 10° ≤ 2θ ≤ 90°, sorted by position:
| 2theta | Rel. int. | index |
| --- | --- | --- |
| 17.70 | 100 | 2 0 0 |
| 36.75 | 10 | 0 0 2 |
| 37.21 | 18 | 1 3 -1 |
| 38.59 | 5 | 1 3 1 |
| 43.58 | 15 | 2 0 2 |
| 44.23 | 28 | 3 3 -1 |
| 47.79 | 8 | 3 3 1 |
| 57.18 | 10 | 5 3 -1 |
| 62.09 | 7 | 5 3 1 |
| 65.56 | 8 | 1 3 -3 |